# BaSrZr2O6
Computed powder diffractogram, Cu Kα (weighted mean of Kα1 and Kα2). Input: a cell relaxed with PBE.
Kinematic intensities with the Lorentz-polarization factor, no thermal factor.

```
BaSrZr2O6
1.0
4.217 -4.233 0.000
4.217 4.233 0.000
0.000 0.000 4.228
Ba Sr Zr O
1 1 2 6
Cartesian
0.000 0.000 0.000
4.217 0.000 0.000
2.108 2.117 2.114
2.108 -2.117 2.114
2.108 2.117 0.000
4.217 2.194 2.114
2.245 0.000 2.114
2.108 -2.117 0.000
6.188 0.000 2.114
4.217 -2.194 2.114
```

Most intense lines, 10 to 80 degrees two-theta, sorted by position:
| d [Å] | two_theta | Rel. int. |
| --- | --- | --- |
| 2.988 | 29.90 | 100 |
| 2.115 | 42.75 | 22 |
| 2.108 | 42.89 | 11 |
| 1.726 | 53.05 | 27 |
| 1.723 | 53.15 | 13 |
| 1.495 | 62.09 | 14 |
| 1.493 | 62.18 | 7 |
| 1.338 | 70.36 | 9 |
| 1.334 | 70.61 | 6 |
| 1.220 | 78.38 | 7 |


# BaSrZr2O6
Computed powder diffractogram, Cu Kα (weighted mean of Kα1 and Kα2). Input: a cell relaxed with PBE.
Kinematic intensities with the Lorentz-polarization factor, no thermal factor.

```
BaSrZr2O6
1.0
4.226 0.000 0.000
0.000 4.226 0.000
0.000 0.000 8.452
Ba Sr Zr O
1 1 2 6
Cartesian
0.000 0.000 0.000
0.000 0.000 4.226
2.113 2.113 2.139
2.113 2.113 6.313
0.000 2.113 2.161
0.000 2.113 6.291
2.113 0.000 2.161
2.113 0.000 6.291
2.113 2.113 0.000
2.113 2.113 4.226
```

Most intense lines, 10 to 80 degrees two-theta, sorted by position:
| d [Å] | two_theta | Rel. int. |
| --- | --- | --- |
| 8.452 | 10.47 | 2 |
| 3.780 | 23.53 | 2 |
| 2.988 | 29.90 | 100 |
| 2.440 | 36.84 | 5 |
| 2.113 | 42.79 | 33 |
| 1.725 | 53.08 | 40 |
| 1.494 | 62.12 | 20 |
| 1.336 | 70.46 | 17 |
| 1.274 | 74.46 | 1 |
| 1.220 | 78.38 | 7 |


# Ba4Ta2O9
Computed powder diffractogram, Cu Kα (weighted mean of Kα1 and Kα2). Input: a cell relaxed with PBE.
Kinematic intensities with the Lorentz-polarization factor, no thermal factor.

```
Ba4Ta2O9
1.0
6.135 0.000 0.000
-3.067 5.313 0.000
0.000 0.000 16.909
Ba Ta O
8 4 18
Cartesian
0.000 0.000 0.000
0.000 0.000 4.227
0.000 0.000 8.454
0.000 0.000 12.682
0.000 3.542 2.304
0.000 3.542 6.151
3.067 1.771 10.758
3.067 1.771 14.605
0.000 3.542 11.173
0.000 3.542 14.191
3.067 1.771 2.718
3.067 1.771 5.736
-1.450 2.976 12.682
-0.374 1.879 10.315
-0.374 1.879 15.048
-1.254 4.697 10.315
-1.254 4.697 15.048
1.440 1.263 1.861
1.440 1.263 6.594
1.215 2.569 12.682
2.833 0.232 4.227
0.235 5.081 12.682
1.852 2.744 4.227
1.628 4.050 10.315
1.628 4.050 15.048
4.321 0.616 1.861
4.321 0.616 6.594
3.441 3.434 1.861
3.441 3.434 6.594
4.518 2.337 4.227
```

Most intense lines, 10 to 80 degrees two-theta, sorted by position:
| d [Å] | two_theta | Rel. int. |
| --- | --- | --- |
| 8.454 | 10.46 | 26 |
| 5.069 | 17.50 | 14 |
| 3.308 | 26.95 | 81 |
| 3.067 | 29.11 | 100 |
| 2.249 | 40.09 | 41 |
| 2.075 | 43.61 | 23 |
| 1.814 | 50.30 | 28 |
| 1.771 | 51.61 | 23 |
| 1.534 | 60.35 | 17 |
| 1.391 | 67.29 | 13 |


# BaTa4O14
Computed powder diffractogram, Cu Kα (weighted mean of Kα1 and Kα2). Input: a cell relaxed with PBE.
Kinematic intensities with the Lorentz-polarization factor, no thermal factor.

```
BaTa4O14
1.0
3.789 2.188 6.128
-3.789 2.188 6.128
0.000 -4.375 6.128
Ba Ta O
1 4 14
Cartesian
0.000 0.000 0.000
-1.895 -1.094 6.128
-1.895 1.094 12.255
0.000 2.188 6.128
0.000 0.000 9.191
0.000 0.000 3.020
-1.405 -0.811 8.034
0.000 -1.644 5.814
-1.424 0.822 5.814
-1.424 -0.822 12.569
0.000 -1.623 10.349
-1.405 0.811 10.349
1.405 -0.811 8.034
0.000 1.623 8.034
1.424 0.822 5.814
1.424 -0.822 12.569
0.000 1.644 12.569
1.405 0.811 10.349
0.000 0.000 15.363
```

Most intense lines, 10 to 80 degrees two-theta, sorted by position:
| d [Å] | two_theta | Rel. int. |
| --- | --- | --- |
| 6.181 | 14.33 | 55 |
| 6.128 | 14.46 | 67 |
| 3.228 | 27.64 | 67 |
| 3.091 | 28.89 | 100 |
| 3.064 | 29.15 | 38 |
| 2.671 | 33.56 | 48 |
| 1.895 | 48.02 | 32 |
| 1.882 | 48.36 | 28 |
| 1.810 | 50.41 | 18 |
| 1.611 | 57.16 | 34 |